# Nd3Pd4
Simulated PXRD pattern, Cu Kα. Input: a PBE-relaxed structure.
Neutral-atom scattering factors, no anomalous dispersion.

Principal peaks in the range 10 to 80 degrees two-theta, by angle:
d 2.880, I = 35.3, (1 3 1)
d 2.601, I = 100.0, (4 1 0)
d 2.478, I = 16.7, (5 -2 1)
d 2.457, I = 69.8, (1 2 2)
d 2.193, I = 17.3, (4 -1 2)
d 1.786, I = 15.8, (6 -2 2)

Cell and atoms:
a b c (Å): 13.7640 13.7640 5.8616
angles (deg): 90.00 90.00 120.00
Space group R-3 (No. 148, hexagonal axes)
Unique sites:
Nd 0.0423 0.8326 0.2367
Pd 0.0000 0.0000 0.0000
Pd 0.0000 0.0000 0.5000
Pd 0.0554 0.7809 0.7220